No. 1
The following is a computed XRD peak list of PaCdPt6. It was derived from a cell relaxed with PBE, using Cu Kα X-rays.
No peak broadening, texture or thermal motion is included.

Structure:
abc: 5.819 5.819 4.750
angles: 90.00 90.00 120.00
Fractional positions:
Pa 0.000 0.000 0.000
Cd 0.667 0.333 0.500
Pt 0.007 0.503 0.000
Pt 0.170 0.340 0.500
Pt 0.170 0.830 0.500
Pt 0.497 0.503 0.000
Pt 0.497 0.993 0.000
Pt 0.660 0.830 0.500

Main lines, most intense first (2θ = 5–70°):
- 2θ = 40.53°, I 100
- 2θ = 37.88°, I 27
- 2θ = 35.63°, I 24
- 2θ = 64.00°, I 17
- 2θ = 52.98°, I 16
- 2θ = 17.60°, I 3
- 2θ = 36.21°, I 1
- 2θ = 18.68°, I 1

No. 2
The following is a computed XRD peak list of PaCdRh. It was derived from a cell relaxed with PBE, using Cu Kα X-rays.
No peak broadening, texture or thermal motion is included.

Structure:
abc: 7.382 3.808 9.099
angles: 90.00 90.00 90.00
Fractional positions:
Pa 0.041 0.250 0.180
Pa 0.459 0.750 0.680
Pa 0.541 0.250 0.320
Pa 0.959 0.750 0.820
Cd 0.136 0.250 0.547
Cd 0.364 0.750 0.047
Cd 0.636 0.250 0.953
Cd 0.864 0.750 0.453
Rh 0.225 0.250 0.843
Rh 0.275 0.750 0.343
Rh 0.725 0.250 0.657
Rh 0.775 0.750 0.157

Main lines, most intense first (2θ = 5–70°):
- 2θ = 35.27°, I 100
- 2θ = 31.90°, I 69
- 2θ = 32.99°, I 64
- 2θ = 33.82°, I 52
- 2θ = 39.92°, I 45
- 2θ = 47.77°, I 30
- 2θ = 37.91°, I 26
- 2θ = 41.73°, I 26

No. 3
The following is a computed XRD peak list of PaCd2Rh2. It was derived from a cell relaxed with PBE, using Cu Kα X-rays.
No peak broadening, texture or thermal motion is included.

Structure:
abc: 3.522 4.452 6.836
angles: 96.18 104.83 90.13
Fractional positions:
Pa 0.000 0.000 0.000
Cd 0.270 0.759 0.541
Cd 0.730 0.241 0.459
Rh 0.412 0.308 0.823
Rh 0.588 0.692 0.177

Main lines, most intense first (2θ = 5–70°):
- 2θ = 33.70°, I 100
- 2θ = 37.28°, I 90
- 2θ = 37.38°, I 89
- 2θ = 32.64°, I 80
- 2θ = 35.84°, I 77
- 2θ = 25.51°, I 54
- 2θ = 49.82°, I 47
- 2θ = 27.16°, I 45